No. 1
Structure and simulated X-ray diffraction stick pattern of Y7RuS5 (a structure optimized by DFT (PBE); a wavelength of 1.5418 Å).

Atomic structure:
Lattice parameters (Å, degrees): 6.7399 6.7399 23.6421 90.00 90.00 146.71
Positions (direct):
Y 0.0378 0.9622 0.5000
Y 0.1317 0.8683 0.2163
Y 0.1463 0.8537 0.7881
Y 0.2969 0.7031 0.4302
Y 0.3105 0.6895 0.5716
Y 0.3989 0.6011 0.1328
Y 0.4185 0.5815 0.8599
Y 0.5815 0.4185 0.3599
Y 0.6011 0.3989 0.6328
Y 0.6895 0.3105 0.0716
Y 0.7031 0.2969 0.9302
Y 0.8537 0.1463 0.2881
Y 0.8683 0.1317 0.7163
Y 0.9622 0.0378 0.0000
Ru 0.3079 0.6921 0.0087
Ru 0.6921 0.3079 0.5087
S 0.0454 0.9546 0.1109
S 0.0581 0.9419 0.8926
S 0.2168 0.7832 0.3226
S 0.2307 0.7693 0.6803
S 0.4906 0.5094 0.2492
S 0.5094 0.4906 0.7492
S 0.7693 0.2307 0.1803
S 0.7832 0.2168 0.8226
S 0.9419 0.0581 0.3926
S 0.9546 0.0454 0.6109

Most intense lines, 2θ from 10° to 90°, low angle first:
d 2.993, 2θ = 29.9°, I = 87; d 2.793, 2θ = 32.0°, I = 100; d 2.700, 2θ = 33.2°, I = 60; d 2.142, 2θ = 42.2°, I = 34; d 1.930, 2θ = 47.1°, I = 32; d 1.622, 2θ = 56.7°, I = 27

=====

No. 2
Structure and simulated X-ray diffraction stick pattern of K2TiRh (a structure optimized by DFT (PBE); a wavelength of 1.5418 Å).

Atomic structure:
Lattice parameters (Å, degrees): 9.1765 9.1765 9.1765 93.45 93.45 151.60
Positions (direct):
K 0.3750 0.2109 0.3359
K 0.7891 0.1250 0.1641
K 0.8750 0.0391 0.6641
K 0.9609 0.6250 0.8359
Ti 0.2500 0.7500 0.5000
Ti 0.5000 0.5000 0.0000
Rh 0.0000 0.0000 0.0000
Rh 0.7500 0.2500 0.5000

Most intense lines, 2θ from 10° to 90°, low angle first:
d 6.290, 2θ = 14.1°, I = 100; d 4.448, 2θ = 20.0°, I = 33; d 4.239, 2θ = 21.0°, I = 26; d 3.145, 2θ = 28.4°, I = 31; d 2.813, 2θ = 31.8°, I = 60; d 1.959, 2θ = 46.3°, I = 25

=====

No. 3
Structure and simulated X-ray diffraction stick pattern of Pm3ThPt4 (a structure optimized by DFT (PBE); a wavelength of 1.5418 Å).

Atomic structure:
Lattice parameters (Å, degrees): 7.2502 8.3509 7.2299 90.00 109.53 90.00
Positions (direct):
Pm 0.0000 0.1232 0.2500
Pm 0.0000 0.3744 0.7500
Pm 0.0000 0.6256 0.2500
Pm 0.0000 0.8768 0.7500
Pm 0.5000 0.1236 0.7500
Pm 0.5000 0.8764 0.2500
Th 0.5000 0.3747 0.2500
Th 0.5000 0.6253 0.7500
Pt 0.2524 0.1292 0.0038
Pt 0.2524 0.8708 0.5038
Pt 0.2556 0.3777 0.4993
Pt 0.2556 0.6223 0.9993
Pt 0.7444 0.3777 0.0007
Pt 0.7444 0.6223 0.5007
Pt 0.7476 0.1292 0.4962
Pt 0.7476 0.8708 0.9962

Most intense lines, 2θ from 10° to 90°, low angle first:
d 2.954, 2θ = 30.3°, I = 100; d 2.089, 2θ = 43.3°, I = 76; d 1.706, 2θ = 53.7°, I = 20; d 1.477, 2θ = 62.9°, I = 13; d 1.323, 2θ = 71.3°, I = 12; d 1.321, 2θ = 71.4°, I = 23

=====

No. 4
Structure and simulated X-ray diffraction stick pattern of Dy4Er10Zr (a structure optimized by DFT (PBE); a wavelength of 1.5418 Å).

Atomic structure:
Lattice parameters (Å, degrees): 8.7302 8.7302 8.7302 101.15 101.15 127.83
Positions (direct):
Dy 0.2281 0.2281 0.4561
Dy 0.2281 0.7719 0.0000
Dy 0.7719 0.2281 0.0000
Dy 0.7719 0.7719 0.5439
Er 0.0810 0.2884 0.7926
Er 0.2500 0.7500 0.5000
Er 0.2884 0.0810 0.7926
Er 0.2884 0.4959 0.2074
Er 0.4959 0.2884 0.2074
Er 0.5041 0.7116 0.7926
Er 0.7116 0.5041 0.7926
Er 0.7116 0.9190 0.2074
Er 0.7500 0.2500 0.5000
Er 0.9190 0.7116 0.2074
Zr 0.0000 0.0000 0.0000

Most intense lines, 2θ from 10° to 90°, low angle first:
d 3.156, 2θ = 28.3°, I = 65; d 2.855, 2θ = 31.3°, I = 40; d 2.772, 2θ = 32.3°, I = 100; d 2.743, 2θ = 32.6°, I = 95; d 2.589, 2θ = 34.6°, I = 37; d 2.160, 2θ = 41.8°, I = 49

=====

No. 5
Structure and simulated X-ray diffraction stick pattern of NpSO5F (a structure optimized by DFT (PBE); a wavelength of 1.5418 Å).

Atomic structure:
Lattice parameters (Å, degrees): 6.7929 6.7929 7.0249 105.02 105.02 112.73
Positions (direct):
Np 0.0000 0.0000 0.0000
Np 0.0000 0.0000 0.5000
S 0.3902 0.6098 0.7500
S 0.6098 0.3902 0.2500
O 0.0943 0.9057 0.7500
O 0.2992 0.3404 0.6677
O 0.3199 0.6666 0.5694
O 0.3334 0.6801 0.9306
O 0.3404 0.2992 0.1677
O 0.6596 0.7008 0.8323
O 0.6666 0.3199 0.0694
O 0.6801 0.3334 0.4306
O 0.7008 0.6596 0.3323
O 0.9057 0.0943 0.2500
F 0.1274 0.8726 0.2500
F 0.8726 0.1274 0.7500

Most intense lines, 2θ from 10° to 90°, low angle first:
d 5.733, 2θ = 15.5°, I = 100; d 5.656, 2θ = 15.7°, I = 83; d 3.354, 2θ = 26.6°, I = 46; d 3.325, 2θ = 26.8°, I = 35; d 3.280, 2θ = 27.2°, I = 42; d 2.722, 2θ = 32.9°, I = 31

=====

No. 6
Structure and simulated X-ray diffraction stick pattern of CsHBrF (a structure optimized by DFT (PBE); a wavelength of 1.5418 Å).

Atomic structure:
Lattice parameters (Å, degrees): 5.2947 4.6492 5.4503 90.00 98.20 90.00
Positions (direct):
Cs 0.0000 0.0000 0.0000
H 0.2191 0.5000 0.5169
Br 0.4762 0.5000 0.8157
F 0.0756 0.5000 0.3753

Most intense lines, 2θ from 10° to 90°, low angle first:
d 5.395, 2θ = 16.4°, I = 96; d 3.520, 2θ = 25.3°, I = 66; d 3.478, 2θ = 25.6°, I = 100; d 3.058, 2θ = 29.2°, I = 77; d 2.805, 2θ = 31.9°, I = 54; d 2.333, 2θ = 38.6°, I = 36

=====

No. 7
Structure and simulated X-ray diffraction stick pattern of KRbAg10 (a structure optimized by DFT (PBE); a wavelength of 1.5418 Å).

Atomic structure:
Lattice parameters (Å, degrees): 4.6087 5.8610 10.2353 90.00 90.00 90.00
Positions (direct):
K 0.0000 0.0000 0.0000
Rb 0.0000 0.5000 0.5000
Ag 0.0000 0.0000 0.3298
Ag 0.0000 0.0000 0.6702
Ag 0.0000 0.5000 0.1634
Ag 0.0000 0.5000 0.8366
Ag 0.5000 0.0000 0.5000
Ag 0.5000 0.2486 0.2471
Ag 0.5000 0.2486 0.7529
Ag 0.5000 0.5000 0.0000
Ag 0.5000 0.7514 0.2471
Ag 0.5000 0.7514 0.7529

Most intense lines, 2θ from 10° to 90°, low angle first:
d 5.086, 2θ = 17.4°, I = 50; d 2.484, 2θ = 36.2°, I = 100; d 2.473, 2θ = 36.3°, I = 49; d 2.304, 2θ = 39.1°, I = 49; d 2.237, 2θ = 40.3°, I = 34; d 2.227, 2θ = 40.5°, I = 67

=====

No. 8
Structure and simulated X-ray diffraction stick pattern of Sr6AlSi2 (a structure optimized by DFT (PBE); a wavelength of 1.5418 Å).

Atomic structure:
Lattice parameters (Å, degrees): 9.4632 9.4632 9.4632 112.48 109.94 106.06
Positions (direct):
Sr 0.0580 0.2467 0.8112
Sr 0.1765 0.2756 0.4521
Sr 0.1765 0.7244 0.9008
Sr 0.3361 0.0143 0.6782
Sr 0.3361 0.6579 0.3218
Sr 0.4355 0.2467 0.1888
Sr 0.5645 0.7533 0.8112
Sr 0.6639 0.3421 0.6782
Sr 0.6639 0.9857 0.3218
Sr 0.8235 0.2756 0.0992
Sr 0.8235 0.7244 0.5479
Sr 0.9420 0.7533 0.1888
Al 0.0000 0.0000 0.0000
Al 0.5000 0.5000 0.0000
Si 0.1070 0.6070 0.5000
Si 0.3215 0.0000 0.3215
Si 0.6785 0.0000 0.6785
Si 0.8930 0.3930 0.5000

Most intense lines, 2θ from 10° to 90°, low angle first:
d 3.863, 2θ = 23.0°, I = 50; d 3.337, 2θ = 26.7°, I = 45; d 3.148, 2θ = 28.4°, I = 100; d 2.934, 2θ = 30.5°, I = 72; d 2.884, 2θ = 31.0°, I = 75; d 2.849, 2θ = 31.4°, I = 47

=====

No. 9
Structure and simulated X-ray diffraction stick pattern of LaYGePd (a structure optimized by DFT (PBE); a wavelength of 1.5418 Å).

Atomic structure:
Lattice parameters (Å, degrees): 5.1547 5.1547 5.1547 60.00 60.00 60.00
Positions (direct):
La 0.0000 0.0000 0.0000
Y 0.5000 0.5000 0.5000
Ge 0.2500 0.2500 0.2500
Pd 0.7500 0.7500 0.7500

Most intense lines, 2θ from 10° to 90°, low angle first:
d 4.209, 2θ = 21.1°, I = 4; d 2.577, 2θ = 34.8°, I = 100; d 1.822, 2θ = 50.0°, I = 18; d 1.488, 2θ = 62.4°, I = 36; d 1.289, 2θ = 73.5°, I = 11; d 1.153, 2θ = 84.0°, I = 15

=====

No. 10
Structure and simulated X-ray diffraction stick pattern of Cs2NaGe (a structure optimized by DFT (PBE); a wavelength of 1.5418 Å).

Atomic structure:
Lattice parameters (Å, degrees): 12.4896 7.4427 9.9500 90.00 112.75 90.00
Positions (direct):
Cs 0.1869 0.2490 0.0862
Cs 0.1869 0.2510 0.5862
Cs 0.2343 0.7446 0.3572
Cs 0.2343 0.7554 0.8572
Cs 0.7657 0.2446 0.1428
Cs 0.7657 0.2554 0.6428
Cs 0.8131 0.7490 0.4138
Cs 0.8131 0.7510 0.9138
Na 0.4980 0.5068 0.1984
Na 0.4980 0.9932 0.6984
Na 0.5020 0.0068 0.3016
Na 0.5020 0.4932 0.8016
Ge 0.4398 0.1406 0.9661
Ge 0.4398 0.3594 0.4661
Ge 0.5602 0.6405 0.5339
Ge 0.5602 0.8594 0.0339

Most intense lines, 2θ from 10° to 90°, low angle first:
d 5.762, 2θ = 15.4°, I = 60; d 3.905, 2θ = 22.8°, I = 86; d 3.880, 2θ = 22.9°, I = 100; d 3.721, 2θ = 23.9°, I = 51; d 3.126, 2θ = 28.6°, I = 56; d 2.180, 2θ = 41.4°, I = 50

=====

No. 11
Structure and simulated X-ray diffraction stick pattern of Pm4TmIn2 (a structure optimized by DFT (PBE); a wavelength of 1.5418 Å).

Atomic structure:
Lattice parameters (Å, degrees): 8.0868 7.2108 6.1183 74.20 59.09 46.72
Positions (direct):
Pm 0.0000 0.0000 0.5000
Pm 0.2500 0.2500 0.2500
Pm 0.5000 0.5000 0.0000
Pm 0.7500 0.7500 0.7500
Tm 0.0000 0.0000 0.0000
In 0.3759 0.3759 0.6241
In 0.6241 0.6241 0.3759

Most intense lines, 2θ from 10° to 90°, low angle first:
d 3.392, 2θ = 26.3°, I = 35; d 2.856, 2θ = 31.3°, I = 100; d 2.678, 2θ = 33.5°, I = 37; d 2.521, 2θ = 35.6°, I = 35; d 2.336, 2θ = 38.5°, I = 27; d 2.119, 2θ = 42.7°, I = 24

=====

No. 12
Structure and simulated X-ray diffraction stick pattern of Ba8CdPt4 (a structure optimized by DFT (PBE); a wavelength of 1.5418 Å).

Atomic structure:
Lattice parameters (Å, degrees): 11.0738 11.0738 14.9195 129.88 129.88 24.27
Positions (direct):
Ba 0.0000 0.0000 0.0000
Ba 0.0259 0.0259 0.7412
Ba 0.0669 0.0669 0.4797
Ba 0.3235 0.3235 0.6631
Ba 0.4108 0.4108 0.1590
Ba 0.6673 0.6673 0.3422
Ba 0.7086 0.7086 0.0811
Ba 0.7346 0.7346 0.8223
Cd 0.3662 0.3662 0.4080
Pt 0.0358 0.0358 0.2417
Pt 0.2193 0.2193 0.9481
Pt 0.5151 0.5151 0.8740
Pt 0.6984 0.6984 0.5803

Most intense lines, 2θ from 10° to 90°, low angle first:
d 7.453, 2θ = 11.9°, I = 62; d 3.539, 2θ = 25.2°, I = 99; d 3.397, 2θ = 26.2°, I = 78; d 2.847, 2θ = 31.4°, I = 83; d 2.488, 2θ = 36.1°, I = 75; d 2.211, 2θ = 40.8°, I = 100